Entry 1:
# MgMo3P3O13
Theoretical PXRD pattern, a wavelength of 1.5418 Å. Input: a DFT-relaxed cell (PBE+U, the Materials Project).

Peak list (12 most intense, 2θ = 10–90°, sorted by position)
d_spacing	I (rel.)	(hkl)
5.607	39	0 1 1
4.694	100	1 0 -2
3.432	57	2 0 1
3.330	48	0 2 0
3.170	24	0 2 1
2.981	60	1 0 3
2.880	39	1 2 1
2.825	25	2 0 -3
2.600	33	3 0 -1
2.519	25	2 2 0
2.400	42	0 2 3
1.717	24	4 0 2

Cell and atoms:
```
data_MgMo3P3O13
_cell_length_a 7.822
_cell_length_b 6.656
_cell_length_c 10.552
_cell_angle_alpha 90.00
_cell_angle_beta 99.70
_cell_angle_gamma 90.00
_space_group_name_H-M_alt 'P 1 21/m 1'
_space_group_IT_number 11
loop_
_space_group_symop_operation_xyz
'x,y,z'
'-x,-y,-z'
'-x,y+1/2,-z'
'x,-y+1/2,z'
loop_
_atom_site_label
_atom_site_fract_x
_atom_site_fract_y
_atom_site_fract_z
Mg1 0.106 0.250 0.175
Mo1 0.140 0.250 0.794
Mo2 0.269 0.750 0.438
Mo3 0.500 0.000 0.000
P1 0.179 0.750 0.106
P2 0.231 0.750 0.766
P3 0.283 0.250 0.499
O1 0.007 0.250 0.975
O2 0.109 0.572 0.788
O3 0.141 0.750 0.247
O4 0.154 0.250 0.596
O5 0.246 0.068 0.406
O6 0.274 0.550 0.092
O7 0.295 0.750 0.639
O8 0.386 0.250 0.897
O9 0.395 0.750 0.875
O10 0.469 0.250 0.577
```



Entry 2:
# BaSrV4Ni4O16
Theoretical PXRD pattern, a wavelength of 1.5418 Å. Input: a DFT-relaxed cell (PBE+U, the Materials Project).

Peak list (12 most intense, 2θ = 10–90°, sorted by position)
d_spacing	I (rel.)	(hkl)
4.394	18	2 2 0
3.504	33	2 0 2
2.883	100	3 1 2
2.840	59	4 1 1
2.779	55	4 2 0
2.521	30	2 1 3
2.227	25	5 2 1
2.071	27	6 0 0
1.910	23	2 2 4
1.905	35	5 3 2
1.482	46	6 0 4
1.465	23	6 6 0

Cell and atoms:
```
data_BaSrV4Ni4O16
_cell_length_a 12.428
_cell_length_b 12.428
_cell_length_c 8.485
_cell_angle_alpha 90.00
_cell_angle_beta 90.00
_cell_angle_gamma 90.00
_space_group_name_H-M_alt 'I -4 c 2'
_space_group_IT_number 120
_space_group_name_Hall 'I -4 -2c'
loop_
_atom_site_label
_atom_site_fract_x
_atom_site_fract_y
_atom_site_fract_z
Ba1 0.000 0.000 0.000
Sr1 0.000 0.500 0.250
V1 0.080 0.252 0.375
Ni1 0.168 0.332 0.000
Ni2 0.169 0.169 0.750
O1 0.003 0.163 0.776
O2 0.003 0.343 0.970
O3 0.159 0.177 0.509
O4 0.159 0.326 0.240
```